[1]
This entry pairs a crystal structure of TbDy3Ru with its computed powder diffraction line list. Radiation: Cu Kα (λ = 1.5418 Å). Structure: a crystal structure in Alexandria, relaxed with GGA-PBE.

Atomic structure:
```
data_TbDy3Ru
_symmetry_space_group_name_H-M 'P 1 21/m 1'
_symmetry_Int_Tables_number 11
_cell_length_a 4.842
_cell_length_b 9.737
_cell_length_c 6.505
_cell_angle_alpha 90.00
_cell_angle_beta 111.72
_cell_angle_gamma 90.00
loop_
_symmetry_equiv_pos_as_xyz
'x,y,z'
'-x,-y,-z'
'-x,y+1/2,-z'
'x,-y+1/2,z'
loop_
_atom_site_label
_atom_site_type_symbol
_atom_site_fract_x
_atom_site_fract_y
_atom_site_fract_z
Tb1 Tb 0.138 0.250 0.275
Dy1 Dy 0.137 0.750 0.273
Dy2 Dy 0.365 0.000 0.732
Ru1 Ru 0.499 0.250 0.999
```

Main lines, by intensity (2θ = 10–90°):
34.32 deg, I = 100, hkl 1 2 1
27.00 deg, I = 46, hkl 1 2 -1
36.93 deg, I = 28, hkl 0 4 0
37.14 deg, I = 28, hkl 2 0 -1
29.56 deg, I = 24, hkl 0 0 2
53.38 deg, I = 19, hkl 2 4 -1
45.92 deg, I = 16, hkl 1 2 -3
64.87 deg, I = 16, hkl 1 6 1
47.99 deg, I = 13, hkl 0 4 2
59.97 deg, I = 13, hkl 1 2 3
62.20 deg, I = 12, hkl 2 4 -3
73.84 deg, I = 9, hkl 0 4 4

[2]
This entry pairs a crystal structure of Tb5Dy2Ru5 with its computed powder diffraction line list. Radiation: Cu Kα (λ = 1.5418 Å). Structure: a crystal structure in Alexandria, relaxed with GGA-PBE.

Atomic structure:
```
data_Tb5Dy2Ru5
_symmetry_space_group_name_H-M 'C 1 2/m 1'
_symmetry_Int_Tables_number 12
_cell_length_a 8.389
_cell_length_b 4.837
_cell_length_c 13.556
_cell_angle_alpha 90.00
_cell_angle_beta 101.81
_cell_angle_gamma 90.00
loop_
_symmetry_equiv_pos_as_xyz
'x,y,z'
'-x,-y,-z'
'-x,y,-z'
'x,-y,z'
'x+1/2,y+1/2,z'
'-x+1/2,-y+1/2,-z'
'-x+1/2,y+1/2,-z'
'x+1/2,-y+1/2,z'
loop_
_atom_site_label
_atom_site_type_symbol
_atom_site_fract_x
_atom_site_fract_y
_atom_site_fract_z
Tb1 Tb 0.000 0.000 0.000
Tb2 Tb 0.191 0.000 0.572
Tb3 Tb 0.215 0.500 0.146
Dy1 Dy 0.072 0.500 0.716
Ru1 Ru 0.000 0.500 0.500
Ru2 Ru 0.116 0.000 0.347
Ru3 Ru 0.145 0.500 0.935
```

Main lines, by intensity (2θ = 10–90°):
37.15 deg, I = 100, hkl 0 2 0
36.33 deg, I = 41, hkl 1 1 4
38.25 deg, I = 22, hkl 2 0 4
30.98 deg, I = 19, hkl 2 0 -4
32.69 deg, I = 18, hkl 2 0 3
66.97 deg, I = 18, hkl 6 0 -2
26.41 deg, I = 15, hkl 1 1 2
66.44 deg, I = 14, hkl 5 1 -6
79.15 deg, I = 11, hkl 0 4 0
52.98 deg, I = 9, hkl 2 2 -5
44.31 deg, I = 8, hkl 1 1 -6
54.38 deg, I = 8, hkl 2 2 4

[3]
This entry pairs a crystal structure of TbDy3Ru with its computed powder diffraction line list. Radiation: Cu Kα (λ = 1.5418 Å). Structure: a crystal structure in Alexandria, relaxed with GGA-PBE.

Atomic structure:
```
data_TbDy3Ru
_symmetry_space_group_name_H-M 'I m a 2'
_symmetry_Int_Tables_number 46
_cell_length_a 9.358
_cell_length_b 7.359
_cell_length_c 8.582
_cell_angle_alpha 90.00
_cell_angle_beta 90.00
_cell_angle_gamma 90.00
loop_
_symmetry_equiv_pos_as_xyz
'x,y,z'
'-x,-y,z'
'-x+1/2,y,z'
'x+1/2,-y,z'
'x+1/2,y+1/2,z+1/2'
'-x+1/2,-y+1/2,z+1/2'
'-x,y+1/2,z+1/2'
'x,-y+1/2,z+1/2'
loop_
_atom_site_label
_atom_site_type_symbol
_atom_site_fract_x
_atom_site_fract_y
_atom_site_fract_z
Tb1 Tb 0.250 0.020 0.000
Dy1 Dy 0.037 0.749 0.249
Dy2 Dy 0.250 0.020 0.499
Ru1 Ru 0.250 0.248 0.749
```

Main lines, by intensity (2θ = 10–90°):
32.04 deg, I = 100, hkl 0 2 2
28.22 deg, I = 65, hkl 2 0 2
30.92 deg, I = 49, hkl 2 2 0
50.91 deg, I = 37, hkl 4 2 2
31.14 deg, I = 25, hkl 3 1 0
42.12 deg, I = 24, hkl 0 0 4
53.15 deg, I = 22, hkl 2 2 4
38.48 deg, I = 21, hkl 4 0 0
37.69 deg, I = 17, hkl 3 1 2
51.99 deg, I = 17, hkl 3 3 2
58.00 deg, I = 15, hkl 2 4 2
49.55 deg, I = 14, hkl 0 4 0

[4]
This entry pairs a crystal structure of Dy3TeRu with its computed powder diffraction line list. Radiation: Cu Kα (λ = 1.5418 Å). Structure: a crystal structure in Alexandria, relaxed with GGA-PBE.

Atomic structure:
```
data_Dy3TeRu
_symmetry_space_group_name_H-M 'C 1 2/m 1'
_symmetry_Int_Tables_number 12
_cell_length_a 12.134
_cell_length_b 4.277
_cell_length_c 10.714
_cell_angle_alpha 90.00
_cell_angle_beta 104.68
_cell_angle_gamma 90.00
loop_
_symmetry_equiv_pos_as_xyz
'x,y,z'
'-x,-y,-z'
'-x,y,-z'
'x,-y,z'
'x+1/2,y+1/2,z'
'-x+1/2,-y+1/2,-z'
'-x+1/2,y+1/2,-z'
'x+1/2,-y+1/2,z'
loop_
_atom_site_label
_atom_site_type_symbol
_atom_site_fract_x
_atom_site_fract_y
_atom_site_fract_z
Dy1 Dy 0.084 0.000 0.388
Dy2 Dy 0.126 0.500 0.132
Dy3 Dy 0.153 0.500 0.670
Te1 Te 0.101 0.000 0.892
Ru1 Ru 0.222 0.500 0.393
```

Main lines, by intensity (2θ = 10–90°):
32.56 deg, I = 100, hkl 3 1 -2
29.28 deg, I = 52, hkl 1 1 2
42.27 deg, I = 45, hkl 0 2 0
34.62 deg, I = 41, hkl 0 0 4
38.43 deg, I = 31, hkl 3 1 2
30.98 deg, I = 29, hkl 3 1 0
30.46 deg, I = 26, hkl 4 0 0
55.73 deg, I = 21, hkl 0 2 4
56.76 deg, I = 20, hkl 3 1 -6
71.18 deg, I = 16, hkl 3 3 -2
26.87 deg, I = 15, hkl 1 1 -2
63.64 deg, I = 11, hkl 5 1 4

[5]
This entry pairs a crystal structure of DyTh2Ru with its computed powder diffraction line list. Radiation: Cu Kα (λ = 1.5418 Å). Structure: a crystal structure in Alexandria, relaxed with GGA-PBE.

Atomic structure:
```
data_DyTh2Ru
_symmetry_space_group_name_H-M 'C m c m'
_symmetry_Int_Tables_number 63
_symmetry_space_group_name_Hall '-C 2c 2'
_cell_length_a 3.848
_cell_length_b 11.750
_cell_length_c 9.858
_cell_angle_alpha 90.00
_cell_angle_beta 90.00
_cell_angle_gamma 90.00
loop_
_atom_site_label
_atom_site_type_symbol
_atom_site_fract_x
_atom_site_fract_y
_atom_site_fract_z
Dy1 Dy 0.000 0.081 0.250
Th1 Th 0.000 0.361 0.064
Ru1 Ru 0.000 0.206 0.750
```

Main lines, by intensity (2θ = 10–90°):
30.43 deg, I = 100, hkl 0 4 0
31.19 deg, I = 62, hkl 0 2 3
33.90 deg, I = 41, hkl 1 3 1
36.77 deg, I = 39, hkl 1 1 3
37.50 deg, I = 36, hkl 1 3 2
53.53 deg, I = 25, hkl 1 5 3
32.62 deg, I = 23, hkl 1 3 0
57.69 deg, I = 22, hkl 2 2 3
31.79 deg, I = 22, hkl 0 4 1
47.24 deg, I = 21, hkl 2 0 0
60.14 deg, I = 19, hkl 1 7 0
57.55 deg, I = 17, hkl 1 3 5

[6]
This entry pairs a crystal structure of Dy2Th3Ru2 with its computed powder diffraction line list. Radiation: Cu Kα (λ = 1.5418 Å). Structure: a crystal structure in Alexandria, relaxed with GGA-PBE.

Atomic structure:
```
data_Dy2Th3Ru2
_symmetry_space_group_name_H-M 'C 1 2/m 1'
_symmetry_Int_Tables_number 12
_cell_length_a 11.678
_cell_length_b 3.847
_cell_length_c 8.917
_cell_angle_alpha 90.00
_cell_angle_beta 109.43
_cell_angle_gamma 90.00
loop_
_symmetry_equiv_pos_as_xyz
'x,y,z'
'-x,-y,-z'
'-x,y,-z'
'x,-y,z'
'x+1/2,y+1/2,z'
'-x+1/2,-y+1/2,-z'
'-x+1/2,y+1/2,-z'
'x+1/2,-y+1/2,z'
loop_
_atom_site_label
_atom_site_type_symbol
_atom_site_fract_x
_atom_site_fract_y
_atom_site_fract_z
Dy1 Dy 0.165 0.000 0.299
Th1 Th 0.000 0.500 0.500
Th2 Th 0.122 0.500 0.929
Ru1 Ru 0.139 0.000 0.705
```

Main lines, by intensity (2θ = 10–90°):
30.61 deg, I = 100, hkl 2 0 -3
30.73 deg, I = 93, hkl 2 0 2
34.35 deg, I = 85, hkl 1 1 2
57.38 deg, I = 71, hkl 2 2 -3
32.83 deg, I = 65, hkl 3 1 -1
35.37 deg, I = 53, hkl 3 1 -2
47.26 deg, I = 36, hkl 0 2 0
38.35 deg, I = 34, hkl 1 1 -3
27.81 deg, I = 33, hkl 1 1 1
60.55 deg, I = 33, hkl 7 1 -2
37.90 deg, I = 32, hkl 3 1 1
16.04 deg, I = 29, hkl 2 0 -1

[7]
This entry pairs a crystal structure of Dy6Tl3Ru with its computed powder diffraction line list. Radiation: Cu Kα (λ = 1.5418 Å). Structure: a crystal structure in Alexandria, relaxed with GGA-PBE.

Atomic structure:
```
data_Dy6Tl3Ru
_symmetry_space_group_name_H-M 'P n n m'
_symmetry_Int_Tables_number 58
_cell_length_a 9.011
_cell_length_b 11.675
_cell_length_c 5.225
_cell_angle_alpha 90.00
_cell_angle_beta 90.00
_cell_angle_gamma 90.00
loop_
_symmetry_equiv_pos_as_xyz
'x,y,z'
'-x,-y,-z'
'-x,-y,z'
'x,y,-z'
'x+1/2,-y+1/2,-z+1/2'
'-x+1/2,y+1/2,z+1/2'
'-x+1/2,y+1/2,-z+1/2'
'x+1/2,-y+1/2,z+1/2'
loop_
_atom_site_label
_atom_site_type_symbol
_atom_site_fract_x
_atom_site_fract_y
_atom_site_fract_z
Dy1 Dy 0.010 0.236 0.000
Dy2 Dy 0.153 0.083 0.500
Dy3 Dy 0.192 0.420 0.500
Tl1 Tl 0.000 0.500 0.000
Tl2 Tl 0.156 0.737 0.500
Ru1 Ru 0.000 0.000 0.000
```

Main lines, by intensity (2θ = 10–90°):
30.32 deg, I = 100, hkl 1 3 1
34.44 deg, I = 78, hkl 3 0 1
34.33 deg, I = 42, hkl 0 0 2
36.66 deg, I = 24, hkl 2 4 0
59.17 deg, I = 22, hkl 0 6 2
46.73 deg, I = 19, hkl 0 6 0
46.47 deg, I = 18, hkl 2 3 2
46.61 deg, I = 16, hkl 4 3 0
51.12 deg, I = 15, hkl 2 4 2
61.55 deg, I = 15, hkl 3 0 3
59.00 deg, I = 11, hkl 1 3 3
59.28 deg, I = 11, hkl 3 6 1

[8]
This entry pairs a crystal structure of Dy8TlRu2 with its computed powder diffraction line list. Radiation: Cu Kα (λ = 1.5418 Å). Structure: a crystal structure in Alexandria, relaxed with GGA-PBE.

Atomic structure:
```
data_Dy8TlRu2
_symmetry_space_group_name_H-M 'I m m 2'
_symmetry_Int_Tables_number 44
_cell_length_a 5.299
_cell_length_b 16.012
_cell_length_c 6.913
_cell_angle_alpha 90.00
_cell_angle_beta 90.00
_cell_angle_gamma 90.00
loop_
_symmetry_equiv_pos_as_xyz
'x,y,z'
'-x,-y,z'
'-x,y,z'
'x,-y,z'
'x+1/2,y+1/2,z+1/2'
'-x+1/2,-y+1/2,z+1/2'
'-x+1/2,y+1/2,z+1/2'
'x+1/2,-y+1/2,z+1/2'
loop_
_atom_site_label
_atom_site_type_symbol
_atom_site_fract_x
_atom_site_fract_y
_atom_site_fract_z
Dy1 Dy 0.000 0.000 0.000
Dy2 Dy 0.000 0.109 0.471
Dy3 Dy 0.000 0.287 0.140
Dy4 Dy 0.000 0.331 0.601
Dy5 Dy 0.000 0.500 0.232
Tl1 Tl 0.000 0.500 0.799
Ru1 Ru 0.000 0.172 0.833
```

Main lines, by intensity (2θ = 10–90°):
30.83 deg, I = 100, hkl 1 4 1
35.27 deg, I = 93, hkl 1 3 2
33.83 deg, I = 80, hkl 2 0 0
31.40 deg, I = 68, hkl 1 1 2
32.67 deg, I = 44, hkl 1 5 0
42.77 deg, I = 32, hkl 1 0 3
61.14 deg, I = 22, hkl 1 9 2
40.01 deg, I = 19, hkl 1 6 1
33.58 deg, I = 19, hkl 0 6 0
61.46 deg, I = 19, hkl 3 3 2
28.12 deg, I = 18, hkl 0 2 2
55.60 deg, I = 16, hkl 2 3 3

[9]
This entry pairs a crystal structure of Dy8Tl2Ru3 with its computed powder diffraction line list. Radiation: Cu Kα (λ = 1.5418 Å). Structure: a crystal structure in Alexandria, relaxed with GGA-PBE.

Atomic structure:
```
data_Dy8Tl2Ru3
_symmetry_space_group_name_H-M 'P 1 2/m 1'
_symmetry_Int_Tables_number 10
_cell_length_a 8.762
_cell_length_b 4.951
_cell_length_c 8.784
_cell_angle_alpha 90.00
_cell_angle_beta 111.81
_cell_angle_gamma 90.00
loop_
_symmetry_equiv_pos_as_xyz
'x,y,z'
'-x,-y,-z'
'-x,y,-z'
'x,-y,z'
loop_
_atom_site_label
_atom_site_type_symbol
_atom_site_fract_x
_atom_site_fract_y
_atom_site_fract_z
Dy1 Dy 0.111 0.000 0.389
Dy2 Dy 0.142 0.500 0.865
Dy3 Dy 0.364 0.500 0.642
Dy4 Dy 0.387 0.000 0.113
Tl1 Tl 0.246 0.500 0.255
Ru1 Ru 0.251 0.000 0.751
Ru2 Ru 0.500 0.500 0.000
```

Main lines, by intensity (2θ = 10–90°):
35.68 deg, I = 100, hkl 1 1 -3
36.29 deg, I = 26, hkl 0 2 0
36.54 deg, I = 25, hkl 2 0 2
52.45 deg, I = 18, hkl 2 2 2
21.75 deg, I = 18, hkl 0 0 2
64.89 deg, I = 18, hkl 1 3 -3
25.53 deg, I = 11, hkl 1 1 1
65.15 deg, I = 9, hkl 1 1 5
65.28 deg, I = 9, hkl 5 1 1
50.23 deg, I = 8, hkl 4 0 -4
63.53 deg, I = 7, hkl 4 2 -4
21.85 deg, I = 6, hkl 2 0 0

[10]
This entry pairs a crystal structure of Dy3TmRu8 with its computed powder diffraction line list. Radiation: Cu Kα (λ = 1.5418 Å). Structure: a crystal structure in Alexandria, relaxed with GGA-PBE.

Atomic structure:
```
data_Dy3TmRu8
_symmetry_space_group_name_H-M 'R 3 m'
_symmetry_Int_Tables_number 160
_symmetry_space_group_name_Hall 'R 3 -2"'
_cell_length_a 5.3161
_cell_length_b 5.3161
_cell_length_c 26.1969
_cell_angle_alpha 90.00
_cell_angle_beta 90.00
_cell_angle_gamma 120.00
loop_
_atom_site_label
_atom_site_type_symbol
_atom_site_fract_x
_atom_site_fract_y
_atom_site_fract_z
Dy1 Dy 0.0000 0.0000 0.0000
Dy2 Dy 0.0000 0.0000 0.1251
Dy3 Dy 0.0000 0.0000 0.6249
Tm1 Tm 0.0000 0.0000 0.5002
Ru1 Ru 0.0000 0.0000 0.3126
Ru2 Ru 0.0000 0.0000 0.8127
Ru3 Ru 0.0008 0.5004 0.0630
Ru4 Ru 0.1672 0.3343 0.8954
```

Main lines, by intensity (2θ = 10–90°):
39.72 deg, I = 100, hkl 2 0 2
39.58 deg, I = 34, hkl 1 0 10
64.30 deg, I = 32, hkl 2 1 10
33.58 deg, I = 29, hkl 0 1 8
33.72 deg, I = 29, hkl 1 1 0
41.59 deg, I = 26, hkl 0 2 4
70.59 deg, I = 17, hkl 0 2 16
70.91 deg, I = 17, hkl 2 2 0
60.25 deg, I = 16, hkl 3 0 0
41.36 deg, I = 9, hkl 0 0 12
64.14 deg, I = 8, hkl 2 0 14
84.39 deg, I = 8, hkl 1 3 10

[11]
This entry pairs a crystal structure of Dy2Tm6Ru with its computed powder diffraction line list. Radiation: Cu Kα (λ = 1.5418 Å). Structure: a crystal structure in Alexandria, relaxed with GGA-PBE.

Atomic structure:
```
data_Dy2Tm6Ru
_symmetry_space_group_name_H-M 'P 1 2/m 1'
_symmetry_Int_Tables_number 10
_cell_length_a 8.531
_cell_length_b 3.610
_cell_length_c 8.601
_cell_angle_alpha 90.00
_cell_angle_beta 93.60
_cell_angle_gamma 90.00
loop_
_symmetry_equiv_pos_as_xyz
'x,y,z'
'-x,-y,-z'
'-x,y,-z'
'x,-y,z'
loop_
_atom_site_label
_atom_site_type_symbol
_atom_site_fract_x
_atom_site_fract_y
_atom_site_fract_z
Dy1 Dy 0.201 0.000 0.032
Tm1 Tm 0.055 0.500 0.717
Tm2 Tm 0.266 0.000 0.448
Tm3 Tm 0.461 0.500 0.800
Ru1 Ru 0.500 0.500 0.500
```

Main lines, by intensity (2θ = 10–90°):
32.54 deg, I = 100, hkl 2 1 0
32.39 deg, I = 91, hkl 1 0 -3
50.60 deg, I = 43, hkl 0 2 0
30.49 deg, I = 39, hkl 2 0 2
28.57 deg, I = 32, hkl 2 0 -2
42.15 deg, I = 21, hkl 1 1 3
61.33 deg, I = 17, hkl 1 2 -3
55.34 deg, I = 15, hkl 2 1 4
60.04 deg, I = 14, hkl 1 1 -5
83.40 deg, I = 13, hkl 4 1 -6
60.20 deg, I = 12, hkl 2 2 2
42.35 deg, I = 12, hkl 3 1 1

[12]
This entry pairs a crystal structure of Dy2Tm3Ru3 with its computed powder diffraction line list. Radiation: Cu Kα (λ = 1.5418 Å). Structure: a crystal structure in Alexandria, relaxed with GGA-PBE.

Atomic structure:
```
data_Dy2Tm3Ru3
_symmetry_space_group_name_H-M 'I m m m'
_symmetry_Int_Tables_number 71
_symmetry_space_group_name_Hall '-I 2 2'
_cell_length_a 3.432
_cell_length_b 5.032
_cell_length_c 20.498
_cell_angle_alpha 90.00
_cell_angle_beta 90.00
_cell_angle_gamma 90.00
loop_
_atom_site_label
_atom_site_type_symbol
_atom_site_fract_x
_atom_site_fract_y
_atom_site_fract_z
Dy1 Dy 0.000 0.000 0.218
Tm1 Tm 0.000 0.000 0.000
Tm2 Tm 0.000 0.500 0.109
Ru1 Ru 0.000 0.000 0.500
Ru2 Ru 0.000 0.500 0.386
```

Main lines, by intensity (2θ = 10–90°):
36.21 deg, I = 100, hkl 1 1 4
35.69 deg, I = 33, hkl 0 2 0
28.07 deg, I = 21, hkl 0 1 5
64.45 deg, I = 19, hkl 1 3 4
72.68 deg, I = 15, hkl 1 1 14
41.38 deg, I = 12, hkl 1 1 6
35.02 deg, I = 12, hkl 0 0 8
65.88 deg, I = 11, hkl 2 2 0
53.39 deg, I = 10, hkl 2 0 0
44.18 deg, I = 10, hkl 0 0 10
50.86 deg, I = 9, hkl 0 2 8
58.04 deg, I = 8, hkl 0 2 10

[13]
This entry pairs a crystal structure of DyTm3Ru3 with its computed powder diffraction line list. Radiation: Cu Kα (λ = 1.5418 Å). Structure: a crystal structure in Alexandria, relaxed with GGA-PBE.

Atomic structure:
```
data_DyTm3Ru3
_symmetry_space_group_name_H-M 'R 3 m'
_symmetry_Int_Tables_number 160
_symmetry_space_group_name_Hall 'R 3 -2"'
_cell_length_a 9.4443
_cell_length_b 9.4443
_cell_length_c 5.7617
_cell_angle_alpha 90.00
_cell_angle_beta 90.00
_cell_angle_gamma 120.00
loop_
_atom_site_label
_atom_site_type_symbol
_atom_site_fract_x
_atom_site_fract_y
_atom_site_fract_z
Dy1 Dy 0.0000 0.0000 0.0000
Tm1 Tm 0.0568 0.5284 0.1147
Ru1 Ru 0.9997 0.4998 0.5872
```

Main lines, by intensity (2θ = 10–90°):
38.16 deg, I = 100, hkl 2 0 2
32.87 deg, I = 42, hkl 3 0 0
58.70 deg, I = 22, hkl 0 5 1
32.96 deg, I = 14, hkl 0 1 2
26.73 deg, I = 13, hkl 0 2 1
68.92 deg, I = 13, hkl 6 0 0
42.88 deg, I = 12, hkl 1 2 2
51.21 deg, I = 11, hkl 3 2 1
55.08 deg, I = 11, hkl 0 4 2
72.13 deg, I = 9, hkl 5 2 0
65.60 deg, I = 9, hkl 5 0 2
58.81 deg, I = 8, hkl 0 3 3

[14]
This entry pairs a crystal structure of Dy5Tm2Ru4 with its computed powder diffraction line list. Radiation: Cu Kα (λ = 1.5418 Å). Structure: a crystal structure in Alexandria, relaxed with GGA-PBE.

Atomic structure:
```
data_Dy5Tm2Ru4
_symmetry_space_group_name_H-M 'C 1 2/m 1'
_symmetry_Int_Tables_number 12
_cell_length_a 22.371
_cell_length_b 4.344
_cell_length_c 5.651
_cell_angle_alpha 90.00
_cell_angle_beta 91.42
_cell_angle_gamma 90.00
loop_
_symmetry_equiv_pos_as_xyz
'x,y,z'
'-x,-y,-z'
'-x,y,-z'
'x,-y,z'
'x+1/2,y+1/2,z'
'-x+1/2,-y+1/2,-z'
'-x+1/2,y+1/2,-z'
'x+1/2,-y+1/2,z'
loop_
_atom_site_label
_atom_site_type_symbol
_atom_site_fract_x
_atom_site_fract_y
_atom_site_fract_z
Dy1 Dy 0.000 0.000 0.000
Dy2 Dy 0.119 0.500 0.036
Dy3 Dy 0.232 0.000 0.723
Tm1 Tm 0.083 0.000 0.518
Ru1 Ru 0.016 0.500 0.716
Ru2 Ru 0.163 0.500 0.573
```

Main lines, by intensity (2θ = 10–90°):
33.07 deg, I = 100, hkl 5 1 1
38.13 deg, I = 68, hkl 7 1 -1
32.54 deg, I = 62, hkl 2 0 -2
41.58 deg, I = 62, hkl 0 2 0
34.86 deg, I = 56, hkl 7 1 0
40.19 deg, I = 48, hkl 3 1 2
26.12 deg, I = 45, hkl 1 1 -1
28.38 deg, I = 36, hkl 3 1 -1
35.24 deg, I = 30, hkl 4 0 -2
29.03 deg, I = 25, hkl 6 0 1
57.63 deg, I = 23, hkl 13 1 0
35.97 deg, I = 21, hkl 4 0 2